Theoretical powder diffractogram
Compound: Na2Ce2Br5Cl2
Radiation: Cu Kα (λ = 1.5418 Å)
Structure: DFT lattice parameters and positions (GGA-PBE)
Intensities are scaled so that the largest is 100.

Peak list (12 most intense, 10 to 90 degrees two-theta, by angle)
14.23 deg, I = 90
15.20 deg, I = 100
28.69 deg, I = 34
29.80 deg, I = 87
33.17 deg, I = 47
33.62 deg, I = 28
35.75 deg, I = 33
41.84 deg, I = 47
42.65 deg, I = 33
45.19 deg, I = 20
47.21 deg, I = 29
52.21 deg, I = 25

Crystal structure
Cell lengths 13.1500, 13.1500, 13.1500 Å; angles 153.64, 153.64, 37.62 degrees
Atoms (fractional coordinates):
Na1 0.1676 0.1676 0.0000
Na2 0.8324 0.8324 0.0000
Ce1 0.3811 0.3811 0.0000
Ce2 0.6189 0.6189 0.0000
Br1 0.1236 0.6236 0.5000
Br2 0.3764 0.8764 0.5000
Br3 0.5000 0.5000 0.0000
Br4 0.6236 0.1236 0.5000
Br5 0.8764 0.3764 0.5000
Cl1 0.2730 0.2730 0.0000
Cl2 0.7270 0.7270 0.0000